# RbPaAgO4
Simulated X-ray powder pattern, Cu Kα. Input: a DFT-relaxed cell (PBE, Alexandria).

Most intense lines, 2θ = 10–90°, by angle:
2theta, I_rel
15.47, 100
26.59, 55
29.71, 54
29.88, 69
30.58, 25
31.01, 27
31.22, 25
37.51, 24
49.15, 39
54.76, 23

Structure:
```
data_RbPaAgO4
_chemical_formula_sum 'Rb4 Pa4 Ag4 O16'
_cell_length_a 6.5722
_cell_length_b 7.0126
_cell_length_c 11.6925
_cell_angle_alpha 90.00
_cell_angle_beta 90.00
_cell_angle_gamma 90.00
_symmetry_space_group_name_H-M 'I m m a'
_symmetry_Int_Tables_number 74
_symmetry_space_group_name_Hall '-I 2b 2'
loop_
_atom_site_label
_atom_site_type_symbol
_atom_site_fract_x
_atom_site_fract_y
_atom_site_fract_z
Rb1 Rb 0.0000 0.2500 0.1694
Pa1 Pa 0.0000 0.0000 0.5000
Ag1 Ag 0.2500 0.2500 0.7500
O1 O 0.0000 0.0552 0.6882
O2 O 0.1965 0.2500 0.4826
```

# Pa2AgSbO8
Simulated X-ray powder pattern, Cu Kα. Input: a DFT-relaxed cell (PBE, Alexandria).

Most intense lines, 2θ = 10–90°, by angle:
2theta, I_rel
18.07, 15
28.16, 100
32.63, 36
44.43, 6
46.81, 47
55.52, 46
58.22, 11
75.49, 19
77.86, 11
86.98, 9

Structure:
```
data_Pa2AgSbO8
_chemical_formula_sum 'Pa4 Ag2 Sb2 O16'
_cell_length_a 5.4856
_cell_length_b 5.4856
_cell_length_c 10.9927
_cell_angle_alpha 90.00
_cell_angle_beta 90.00
_cell_angle_gamma 90.00
_symmetry_space_group_name_H-M 'I -4'
_symmetry_Int_Tables_number 82
_symmetry_space_group_name_Hall 'I -4'
loop_
_atom_site_label
_atom_site_type_symbol
_atom_site_fract_x
_atom_site_fract_y
_atom_site_fract_z
Pa1 Pa 0.0000 0.0000 0.0000
Pa2 Pa 0.0000 0.5000 0.2500
Ag1 Ag 0.0000 0.5000 0.7500
Sb1 Sb 0.0000 0.0000 0.5000
O1 O 0.1742 0.7869 0.1441
O2 O 0.1896 0.7726 0.4055
```

# SrPa3Ag4O12
Simulated X-ray powder pattern, Cu Kα. Input: a DFT-relaxed cell (PBE, Alexandria).

Most intense lines, 2θ = 10–90°, by angle:
2theta, I_rel
14.82, 26
20.18, 25
25.13, 61
27.44, 100
29.89, 20
32.98, 63
35.58, 31
46.93, 22
49.11, 21
55.41, 25

Structure:
```
data_SrPa3Ag4O12
_chemical_formula_sum 'Sr3 Pa9 Ag12 O36'
_cell_length_a 11.9564
_cell_length_b 11.9564
_cell_length_c 8.3506
_cell_angle_alpha 90.00
_cell_angle_beta 90.00
_cell_angle_gamma 120.00
_symmetry_space_group_name_H-M 'R 3 2'
_symmetry_Int_Tables_number 155
_symmetry_space_group_name_Hall 'R 3 2"'
loop_
_atom_site_label
_atom_site_type_symbol
_atom_site_fract_x
_atom_site_fract_y
_atom_site_fract_z
Sr1 Sr 0.0000 0.0000 0.0000
Pa1 Pa 0.0000 0.5608 0.0000
Ag1 Ag 0.0000 0.0000 0.5000
Ag2 Ag 0.0000 0.4072 0.5000
O1 O 0.0000 0.6073 0.5000
O2 O 0.0000 0.8233 0.5000
O3 O 0.0591 0.1999 0.1980
```

# PaTaAg2O6
Simulated X-ray powder pattern, Cu Kα. Input: a DFT-relaxed cell (PBE, Alexandria).

Most intense lines, 2θ = 10–90°, by angle:
2theta, I_rel
20.63, 11
21.41, 15
29.90, 100
30.46, 50
41.98, 12
43.61, 28
52.74, 18
53.78, 39
62.13, 14
87.76, 10

Structure:
```
data_PaTaAg2O6
_chemical_formula_sum 'Pa1 Ta1 Ag2 O6'
_cell_length_a 5.8702
_cell_length_b 5.8702
_cell_length_c 4.3046
_cell_angle_alpha 90.00
_cell_angle_beta 90.00
_cell_angle_gamma 90.00
_symmetry_space_group_name_H-M 'P 4 m m'
_symmetry_Int_Tables_number 99
_symmetry_space_group_name_Hall 'P 4 -2'
loop_
_atom_site_label
_atom_site_type_symbol
_atom_site_fract_x
_atom_site_fract_y
_atom_site_fract_z
Pa1 Pa 0.0000 0.0000 0.0000
Ta1 Ta 0.5000 0.5000 0.9464
Ag1 Ag 0.0000 0.5000 0.4108
O1 O 0.0000 0.0000 0.5042
O2 O 0.2629 0.2629 0.0243
O3 O 0.5000 0.5000 0.5175
```

# PaAgTeO5
Simulated X-ray powder pattern, Cu Kα. Input: a DFT-relaxed cell (PBE, Alexandria).

Most intense lines, 2θ = 10–90°, by angle:
2theta, I_rel
15.54, 46
22.92, 100
24.53, 92
30.73, 49
31.41, 45
31.62, 76
46.73, 36
47.86, 27
50.34, 27
54.17, 35

Structure:
```
data_PaAgTeO5
_chemical_formula_sum 'Pa4 Ag4 Te4 O20'
_cell_length_a 8.2818
_cell_length_b 9.2171
_cell_length_c 8.5620
_cell_angle_alpha 90.00
_cell_angle_beta 118.81
_cell_angle_gamma 90.00
_symmetry_space_group_name_H-M 'C 1 2/c 1'
_symmetry_Int_Tables_number 15
_symmetry_space_group_name_Hall '-C 2yc'
loop_
_atom_site_label
_atom_site_type_symbol
_atom_site_fract_x
_atom_site_fract_y
_atom_site_fract_z
Pa1 Pa 0.0000 0.0000 0.0000
Ag1 Ag 0.0000 0.3005 0.2500
Te1 Te 0.0000 0.3187 0.7500
O1 O 0.0000 0.0211 0.7500
O2 O 0.0223 0.2338 0.5168
O3 O 0.1876 0.4641 0.8492
```

# PaTiAgO6
Simulated X-ray powder pattern, Cu Kα. Input: a DFT-relaxed cell (PBE, Alexandria).

Most intense lines, 2θ = 10–90°, by angle:
2theta, I_rel
19.44, 24
26.76, 100
34.01, 32
43.79, 27
51.04, 32
56.58, 25
60.48, 10
60.88, 11
77.97, 10
81.35, 9

Structure:
```
data_PaTiAgO6
_chemical_formula_sum 'Pa1 Ti1 Ag1 O6'
_cell_length_a 5.2713
_cell_length_b 5.2713
_cell_length_c 4.8741
_cell_angle_alpha 90.00
_cell_angle_beta 90.00
_cell_angle_gamma 120.00
_symmetry_space_group_name_H-M 'P 3 1 2'
_symmetry_Int_Tables_number 149
_symmetry_space_group_name_Hall 'P 3 2'
loop_
_atom_site_label
_atom_site_type_symbol
_atom_site_fract_x
_atom_site_fract_y
_atom_site_fract_z
Pa1 Pa 0.0000 0.0000 0.0000
Ti1 Ti 0.6667 0.3333 0.5000
Ag1 Ag 0.3333 0.6667 0.5000
O1 O 0.3528 0.0325 0.7353
```